Computed powder diffraction line list of BeZnHg for Cu Kα, from a DFT-relaxed cell (GGA-PBE, Alexandria).

Most intense lines, 10 to 90 degrees two-theta, by intensity:
2θ (°), I_rel
36.40, 100
27.56, 77
28.44, 71
43.08, 63
22.78, 60
43.68, 60
43.38, 47
69.67, 30
70.99, 28
51.38, 19

Structural model:
```
data_BeZnHg
_chemical_formula_sum 'Be1 Zn1 Hg1'
_cell_length_a 4.619
_cell_length_b 4.619
_cell_length_c 4.619
_cell_angle_alpha 136.44
_cell_angle_beta 134.71
_cell_angle_gamma 64.65
_symmetry_space_group_name_H-M 'P 1'
_symmetry_Int_Tables_number 1
loop_
_symmetry_equiv_pos_as_xyz
'x,y,z'
loop_
_atom_site_label
_atom_site_fract_x
_atom_site_fract_y
_atom_site_fract_z
Be1 0.000 0.000 0.000
Zn1 0.334 0.334 0.000
Hg1 0.668 0.668 0.000
```

=====

Computed powder diffraction line list of Dy3Y4TmS8 for Cu Kα, from a DFT-relaxed cell (GGA-PBE, Alexandria).

Most intense lines, 10 to 90 degrees two-theta, by intensity:
2θ (°), I_rel
32.43, 100
46.51, 71
27.99, 65
55.16, 31
77.27, 31
57.84, 24
86.30, 24
74.96, 13
13.88, 12
67.89, 11

Structural model:
```
data_Dy3Y4TmS8
_chemical_formula_sum 'Dy3 Y4 Tm1 S8'
_cell_length_a 7.811
_cell_length_b 7.811
_cell_length_c 7.811
_cell_angle_alpha 59.98
_cell_angle_beta 59.98
_cell_angle_gamma 59.98
_symmetry_space_group_name_H-M 'P 1'
_symmetry_Int_Tables_number 1
loop_
_symmetry_equiv_pos_as_xyz
'x,y,z'
loop_
_atom_site_label
_atom_site_fract_x
_atom_site_fract_y
_atom_site_fract_z
Dy1 0.000 0.500 0.500
Dy2 0.500 0.000 0.500
Dy3 0.500 0.500 0.000
Y1 0.000 0.000 0.500
Y2 0.000 0.500 0.000
Y3 0.500 0.000 0.000
Y4 0.500 0.500 0.500
Tm1 0.000 0.000 0.000
S1 0.247 0.247 0.752
S2 0.247 0.752 0.247
S3 0.248 0.753 0.753
S4 0.250 0.250 0.250
S5 0.750 0.750 0.750
S6 0.752 0.247 0.247
S7 0.753 0.248 0.753
S8 0.753 0.753 0.248
```

=====

Computed powder diffraction line list of Tm5Pb3 for Cu Kα, from a DFT-relaxed cell (GGA-PBE, Alexandria).

Most intense lines, 10 to 90 degrees two-theta, by intensity:
2θ (°), I_rel
33.57, 100
34.04, 69
34.77, 36
52.44, 29
30.56, 26
27.35, 22
66.91, 22
49.45, 15
44.43, 15
42.78, 12

Structural model:
```
data_Tm5Pb3
_chemical_formula_sum 'Tm10 Pb6'
_cell_length_a 8.938
_cell_length_b 8.938
_cell_length_c 6.521
_cell_angle_alpha 90.00
_cell_angle_beta 90.00
_cell_angle_gamma 120.00
_symmetry_space_group_name_H-M 'P 1'
_symmetry_Int_Tables_number 1
loop_
_symmetry_equiv_pos_as_xyz
'x,y,z'
loop_
_atom_site_label
_atom_site_fract_x
_atom_site_fract_y
_atom_site_fract_z
Tm1 0.000 0.235 0.250
Tm2 0.000 0.765 0.750
Tm3 0.235 0.000 0.250
Tm4 0.235 0.235 0.750
Tm5 0.333 0.667 0.000
Tm6 0.333 0.667 0.500
Tm7 0.667 0.333 0.000
Tm8 0.667 0.333 0.500
Tm9 0.765 0.000 0.750
Tm10 0.765 0.765 0.250
Pb1 0.000 0.395 0.750
Pb2 0.000 0.605 0.250
Pb3 0.395 0.000 0.750
Pb4 0.395 0.395 0.250
Pb5 0.605 0.000 0.250
Pb6 0.605 0.605 0.750
```

=====

Computed powder diffraction line list of DyTm4Pd2 for Cu Kα, from a DFT-relaxed cell (GGA-PBE, Alexandria).

Most intense lines, 10 to 90 degrees two-theta, by intensity:
2θ (°), I_rel
34.72, 100
31.57, 97
37.56, 81
31.04, 67
30.75, 63
31.20, 59
36.84, 54
33.64, 48
36.48, 39
35.42, 38

Structural model:
```
data_DyTm4Pd2
_chemical_formula_sum 'Dy2 Tm8 Pd4'
_cell_length_a 7.776
_cell_length_b 6.291
_cell_length_c 8.000
_cell_angle_alpha 90.00
_cell_angle_beta 112.58
_cell_angle_gamma 90.00
_symmetry_space_group_name_H-M 'P 1'
_symmetry_Int_Tables_number 1
loop_
_symmetry_equiv_pos_as_xyz
'x,y,z'
loop_
_atom_site_label
_atom_site_fract_x
_atom_site_fract_y
_atom_site_fract_z
Dy1 0.155 0.250 0.024
Dy2 0.845 0.750 0.976
Tm1 0.021 0.250 0.393
Tm2 0.248 0.750 0.348
Tm3 0.407 0.003 0.770
Tm4 0.407 0.497 0.770
Tm5 0.593 0.503 0.230
Tm6 0.593 0.997 0.230
Tm7 0.752 0.250 0.652
Tm8 0.979 0.750 0.607
Pd1 0.242 0.750 0.991
Pd2 0.382 0.250 0.420
Pd3 0.618 0.750 0.580
Pd4 0.758 0.250 0.009
```

=====

Computed powder diffraction line list of Ba9Ag2Pd4 for Cu Kα, from a DFT-relaxed cell (GGA-PBE, Alexandria).

Most intense lines, 10 to 90 degrees two-theta, by intensity:
2θ (°), I_rel
24.94, 100
32.20, 78
38.67, 49
41.82, 25
62.75, 24
14.83, 20
51.17, 20
65.94, 18
46.57, 17
62.08, 13

Structural model:
```
data_Ba9Ag2Pd4
_chemical_formula_sum 'Ba18 Ag4 Pd8'
_cell_length_a 8.066
_cell_length_b 8.066
_cell_length_c 23.020
_cell_angle_alpha 90.00
_cell_angle_beta 90.00
_cell_angle_gamma 120.00
_symmetry_space_group_name_H-M 'P 1'
_symmetry_Int_Tables_number 1
loop_
_symmetry_equiv_pos_as_xyz
'x,y,z'
loop_
_atom_site_label
_atom_site_fract_x
_atom_site_fract_y
_atom_site_fract_z
Ba1 0.000 0.350 0.250
Ba2 0.000 0.650 0.750
Ba3 0.013 0.355 0.581
Ba4 0.013 0.659 0.081
Ba5 0.341 0.355 0.081
Ba6 0.341 0.987 0.581
Ba7 0.350 0.000 0.250
Ba8 0.350 0.350 0.750
Ba9 0.355 0.013 0.919
Ba10 0.355 0.341 0.419
Ba11 0.645 0.659 0.581
Ba12 0.645 0.987 0.081
Ba13 0.650 0.000 0.750
Ba14 0.650 0.650 0.250
Ba15 0.659 0.013 0.419
Ba16 0.659 0.645 0.919
Ba17 0.987 0.341 0.919
Ba18 0.987 0.645 0.419
Ag1 0.000 0.000 0.169
Ag2 0.000 0.000 0.331
Ag3 0.000 0.000 0.669
Ag4 0.000 0.000 0.831
Pd1 0.333 0.667 0.169
Pd2 0.333 0.667 0.495
Pd3 0.333 0.667 0.669
Pd4 0.333 0.667 0.995
Pd5 0.667 0.333 0.005
Pd6 0.667 0.333 0.331
Pd7 0.667 0.333 0.505
Pd8 0.667 0.333 0.831
```

=====

Computed powder diffraction line list of Pr2Np3Se8 for Cu Kα, from a DFT-relaxed cell (GGA-PBE, Alexandria).

Most intense lines, 10 to 90 degrees two-theta, by intensity:
2θ (°), I_rel
35.77, 100
21.73, 37
12.37, 27
35.98, 26
36.11, 25
64.54, 18
51.89, 17
64.72, 16
64.09, 15
42.48, 12

Structural model:
```
data_Pr2Np3Se8
_chemical_formula_sum 'Pr2 Np3 Se8'
_cell_length_a 8.713
_cell_length_b 8.713
_cell_length_c 4.992
_cell_angle_alpha 90.00
_cell_angle_beta 90.00
_cell_angle_gamma 110.37
_symmetry_space_group_name_H-M 'P 1'
_symmetry_Int_Tables_number 1
loop_
_symmetry_equiv_pos_as_xyz
'x,y,z'
loop_
_atom_site_label
_atom_site_fract_x
_atom_site_fract_y
_atom_site_fract_z
Pr1 0.231 0.769 0.000
Pr2 0.769 0.231 0.000
Np1 0.235 0.235 0.500
Np2 0.500 0.500 0.000
Np3 0.765 0.765 0.500
Se1 0.122 0.878 0.500
Se2 0.144 0.383 0.000
Se3 0.383 0.144 0.000
Se4 0.386 0.614 0.500
Se5 0.614 0.386 0.500
Se6 0.617 0.856 0.000
Se7 0.856 0.617 0.000
Se8 0.878 0.122 0.500
```